Record 1
Structure and calculated powder XRD pattern of KTiS2 (a crystal structure in the Materials Project, relaxed with PBE; Cu Kα X-rays).

Crystal structure
a b c (Å): 3.6626 3.6626 21.8906
angles (deg): 90.00 90.00 120.00
Space group R-3m (No. 166, hexagonal axes)
One atom of each set of equivalent atoms:
K (0.0000, 0.0000, 0.0000) x3
Ti (0.0000, 0.0000, 0.5000) x3
S (0.0000, 0.0000, 0.2295) x6

Largest 10 diffraction maxima, low angle first, 2θ from 15° to 90°:
h k l, d_spacing, I/Imax
1 0 4, 2.744, 100
1 0 7, 2.227, 8
0 1 8, 2.072, 29
1 1 0, 1.831, 30
1 0 10, 1.802, 6
0 2 4, 1.523, 14
2 0 8, 1.372, 7
1 1 12, 1.292, 6
2 1 4, 1.171, 11
1 2 8, 1.098, 6



Record 2
Structure and calculated powder XRD pattern of LuSeO3F (a crystal structure in the Materials Project, relaxed with PBE; Cu Kα X-rays).

Crystal structure
a b c (Å): 4.2994 6.9267 6.5282
angles (deg): 90.00 95.29 90.00
Space group P2_1/m (No. 11)
One atom of each set of equivalent atoms:
Lu (0.0365, 0.2500, 0.1306) x2
Se (0.1786, 0.7500, 0.3520) x2
O (0.0463, 0.5717, 0.1760) x4
O (0.0875, 0.2500, 0.4722) x2
F (0.4632, 0.7500, 0.8587) x2

Largest 10 diffraction maxima, low angle first, 2θ from 15° to 90°:
h k l, d_spacing, I/Imax
1 0 0, 4.281, 100
1 0 -1, 3.737, 40
0 2 0, 3.463, 79
1 1 1, 3.076, 25
0 1 2, 2.942, 90
1 2 0, 2.693, 35
1 1 2, 2.336, 29
2 0 -1, 2.091, 21
2 1 1, 1.903, 23
0 3 2, 1.882, 32



Record 3
Structure and calculated powder XRD pattern of BeSe (a crystal structure in the Materials Project, relaxed with PBE; Cu Kα X-rays).

Crystal structure
a b c (Å): 3.5228 3.5228 5.5532
angles (deg): 90.00 90.00 120.00
Space group P6_3/mmc (No. 194)
One atom of each set of equivalent atoms:
Be (0.0000, 0.0000, 0.0000) x2
Se (0.3333, 0.6667, 0.2500) x2

Largest 10 diffraction maxima, low angle first, 2θ from 15° to 90°:
h k l, d_spacing, I/Imax
1 0 0, 3.051, 17
0 0 2, 2.777, 21
1 0 1, 2.674, 100
1 0 2, 2.053, 20
1 1 0, 1.761, 22
1 0 3, 1.583, 20
1 1 2, 1.487, 18
2 0 1, 1.471, 15
2 1 1, 1.129, 13
1 1 4, 1.090, 10



Record 4
Structure and calculated powder XRD pattern of Tm2AgHg (a crystal structure in the Materials Project, relaxed with PBE; Cu Kα X-rays).

Crystal structure
a b c (Å): 7.2710 7.2710 7.2710
angles (deg): 90.00 90.00 90.00
Space group Fm-3m (No. 225)
One atom of each set of equivalent atoms:
Tm (0.2500, 0.2500, 0.2500) x8
Ag (0.0000, 0.0000, 0.0000) x4
Hg (0.0000, 0.0000, 0.5000) x4

Largest 10 diffraction maxima, low angle first, 2θ from 15° to 90°:
h k l, d_spacing, I/Imax
1 1 1, 4.198, 4
2 2 0, 2.571, 100
3 1 1, 2.192, 2
4 0 0, 1.818, 18
3 3 1, 1.668, 1
4 2 2, 1.484, 37
5 1 1, 1.399, 1
4 4 0, 1.285, 11
5 3 1, 1.229, 1
6 2 0, 1.150, 16



Record 5
Structure and calculated powder XRD pattern of Pr2Zr2O7 (a crystal structure in the Materials Project, relaxed with PBE; Cu Kα X-rays).

Crystal structure
a b c (Å): 10.8403 10.8403 10.8403
angles (deg): 90.00 90.00 90.00
Space group Fd-3m (No. 227, origin choice 2)
One atom of each set of equivalent atoms:
Pr (0.0000, 0.0000, 0.0000) x16
Zr (0.0000, 0.0000, 0.5000) x16
O (0.0843, 0.3750, 0.8750) x48
O (0.1250, 0.1250, 0.1250) x8

Largest 10 diffraction maxima, low angle first, 2θ from 15° to 90°:
h k l, d_spacing, I/Imax
2 2 2, 3.129, 100
4 0 0, 2.710, 31
3 3 1, 2.487, 5
4 4 0, 1.916, 49
6 2 2, 1.634, 44
4 4 4, 1.565, 10
8 0 0, 1.355, 7
6 6 2, 1.243, 17
8 4 0, 1.212, 14
8 4 4, 1.106, 14



Record 6
Structure and calculated powder XRD pattern of Ca2AlH10ClO8 (a crystal structure in the Materials Project, relaxed with PBE; Cu Kα X-rays).

Crystal structure
a b c (Å): 9.9004 5.7959 16.3049
angles (deg): 90.00 101.92 90.00
Space group Cc (No. 9)
One atom of each set of equivalent atoms:
Ca (0.0000, 0.2487, 0.0000) x4
Ca (0.1924, 0.2497, 0.5769) x4
Al (0.3460, 0.2494, 0.0384) x4
H (0.2057, 0.4901, 0.9196) x4
H (0.2111, 0.1111, 0.7605) x4
H (0.2130, 0.2219, 0.1561) x4
H (0.2344, 0.0230, 0.4204) x4
H (0.3460, 0.2588, 0.7608) x4
H (0.3477, 0.2447, 0.3163) x4
H (0.4559, 0.4780, 0.6575) x4
H (0.4795, 0.2866, 0.9200) x4
H (0.4894, 0.1169, 0.3163) x4
H (0.4905, 0.0096, 0.1571) x4
Cl (0.0977, 0.2487, 0.2885) x4
O (0.1982, 0.4319, 0.9745) x4
O (0.2126, 0.1519, 0.1018) x4
O (0.2482, 0.2419, 0.7339) x4
O (0.2963, 0.0301, 0.4750) x4
O (0.3952, 0.4706, 0.6024) x4
O (0.4462, 0.2406, 0.3430) x4
O (0.4794, 0.3493, 0.9753) x4
O (0.4941, 0.0675, 0.1017) x4

Largest 10 diffraction maxima, low angle first, 2θ from 15° to 90°:
h k l, d_spacing, I/Imax
0 0 4, 3.988, 81
1 1 -3, 3.841, 82
0 2 0, 2.898, 53
3 1 -1, 2.868, 100
0 2 4, 2.344, 44
3 1 -5, 2.332, 41
3 1 3, 2.324, 43
1 1 -7, 2.160, 52
2 2 6, 1.727, 47
3 3 -1, 1.667, 43